The following is a computed powder diffractogram of Sr2ScGaO5. It was derived from a structure optimized by DFT (PBE), using Cu Kα.

Structure:
a b c (Å): 15.2729 5.9808 5.7588
angles (deg): 90.00 90.00 90.00
Space group Ima2 (No. 46)
Unique sites:
Sr  0.1114  0.0208  0.0000 (multiplicity 8)
Sc  0.0000  0.0000  0.4954 (multiplicity 4)
Ga  0.2500  0.5715  0.0281 (multiplicity 4)
O  0.0119  0.7469  0.2472 (multiplicity 8)
O  0.1439  0.0674  0.4771 (multiplicity 8)
O  0.2500  0.6571  0.3513 (multiplicity 4)

Peak list (12 most intense, 10 to 90 degrees two-theta, in order of rising 2θ)
- d 3.877, rel. 8, (3 1 0)
- d 3.645, rel. 10, (2 1 1)
- d 2.990, rel. 30, (0 2 0)
- d 2.879, rel. 37, (0 0 2)
- d 2.809, rel. 100, (4 1 1)
- d 2.354, rel. 9, (4 2 0)
- d 2.074, rel. 34, (0 2 2)
- d 1.909, rel. 17, (8 0 0)
- d 1.689, rel. 17, (4 3 1)
- d 1.649, rel. 22, (4 1 3)
- d 1.591, rel. 8, (8 0 2)
- d 1.405, rel. 12, (8 2 2)